Record 1
For Y2Al4GaCu3, a DFT-relaxed cell (GGA-PBE, Alexandria) gives the theoretical PXRD pattern in this record (λ = 1.5418 Å (Cu Kα)).

Largest 8 diffraction maxima, by angle, 5 to 70 degrees two-theta:
hkl 1 1 1, 31.61 deg, intensity 19
hkl 1 0 3, 33.95 deg, intensity 59
hkl 1 1 2, 35.14 deg, intensity 100
hkl 2 0 0, 43.45 deg, intensity 54
hkl 1 0 5, 49.60 deg, intensity 26
hkl 2 1 3, 56.26 deg, intensity 26
hkl 2 2 0, 63.13 deg, intensity 17
hkl 2 1 5, 68.03 deg, intensity 19

Cell and atoms:
Cell lengths 4.1655, 4.1655, 10.2404 Å; angles 90.00, 90.00, 90.00 degrees
Space group P-4m2 (No. 115)
Unique sites:
Y (0.0000, 0.5000, 0.2479) x2
Al (0.0000, 0.0000, 0.0000) x1
Al (0.0000, 0.5000, 0.6412) x2
Al (0.5000, 0.5000, 0.0000) x1
Ga (0.0000, 0.0000, 0.5000) x1
Cu (0.0000, 0.5000, 0.8718) x2
Cu (0.5000, 0.5000, 0.5000) x1

Record 2
For Y2Al3GaCu4, a DFT-relaxed cell (GGA-PBE, Alexandria) gives the theoretical PXRD pattern in this record (λ = 1.5418 Å (Cu Kα)).

Largest 8 diffraction maxima, by angle, 5 to 70 degrees two-theta:
hkl 1 0 3, 34.21 deg, intensity 50
hkl 1 1 2, 35.43 deg, intensity 100
hkl 2 0 0, 43.81 deg, intensity 52
hkl 1 1 4, 47.40 deg, intensity 13
hkl 1 0 5, 49.99 deg, intensity 23
hkl 2 1 3, 56.73 deg, intensity 22
hkl 2 2 0, 63.68 deg, intensity 16
hkl 2 1 5, 68.61 deg, intensity 17

Cell and atoms:
Cell lengths 4.1331, 4.1331, 10.1678 Å; angles 90.00, 90.00, 90.00 degrees
Space group P-4m2 (No. 115)
Unique sites:
Y (0.0000, 0.5000, 0.2476) x2
Al (0.0000, 0.5000, 0.8713) x2
Al (0.5000, 0.5000, 0.5000) x1
Ga (0.0000, 0.0000, 0.5000) x1
Cu (0.0000, 0.0000, 0.0000) x1
Cu (0.0000, 0.5000, 0.6355) x2
Cu (0.5000, 0.5000, 0.0000) x1

Record 3
For GdTmAlCu, a DFT-relaxed cell (GGA-PBE, Alexandria) gives the theoretical PXRD pattern in this record (λ = 1.5418 Å (Cu Kα)).

Largest 8 diffraction maxima, by angle, 5 to 70 degrees two-theta:
hkl 1 1 1, 21.64 deg, intensity 3
hkl 2 0 0, 25.04 deg, intensity 36
hkl 2 2 0, 35.70 deg, intensity 100
hkl 3 1 1, 42.13 deg, intensity 1
hkl 2 2 2, 44.10 deg, intensity 11
hkl 4 0 0, 51.38 deg, intensity 18
hkl 4 2 0, 57.98 deg, intensity 15
hkl 4 2 2, 64.14 deg, intensity 36

Cell and atoms:
Cell lengths 7.1132, 7.1132, 7.1132 Å; angles 90.00, 90.00, 90.00 degrees
Space group F-43m (No. 216)
Unique sites:
Gd (0.0000, 0.0000, 0.0000) x4
Tm (0.0000, 0.0000, 0.5000) x4
Al (0.2500, 0.2500, 0.7500) x4
Cu (0.2500, 0.2500, 0.2500) x4

Record 4
For Li2AlCu7Ge2, a DFT-relaxed cell (GGA-PBE, Alexandria) gives the theoretical PXRD pattern in this record (λ = 1.5418 Å (Cu Kα)).

Largest 8 diffraction maxima, by angle, 5 to 70 degrees two-theta:
hkl 1 1 1, 25.26 deg, intensity 24
hkl 1 1 -2, 28.54 deg, intensity 28
hkl 0 2 1, 35.13 deg, intensity 30
hkl 2 0 -3, 41.54 deg, intensity 100
hkl 2 0 3, 41.63 deg, intensity 60
hkl 0 0 6, 46.46 deg, intensity 74
hkl 2 2 0, 49.31 deg, intensity 27
hkl 2 2 -1, 49.95 deg, intensity 34

Cell and atoms:
Cell lengths 5.2198, 5.2352, 11.7363 Å; angles 90.00, 90.11, 90.00 degrees
Space group C2/m (No. 12)
Unique sites:
Li (0.0008, 0.0000, 0.3182) x4
Al (0.0000, 0.5000, 0.0000) x2
Cu (0.0000, 0.0000, 0.0000) x2
Cu (0.2351, 0.5000, 0.4999) x4
Cu (0.2494, 0.2499, 0.8428) x8
Ge (0.0009, 0.5000, 0.3095) x4